1.
Structure and computed PXRD pattern of NdSm8Sb6 (a structure optimized by DFT (PBE); Cu Ka).

Peak list (10 most intense, 2θ from 5° to 70°, sorted by position)
| index | d (Å) | Rel. int. |
| --- | --- | --- |
| 1 0 0 | 10.050 | 264 |
| 1 1 1 | 3.546 | 298 |
| 3 0 0 | 3.348 | 1000 |
| 2 1 1 | 2.897 | 782 |
| 3 1 0 | 2.787 | 336 |
| 4 -2 1 | 2.435 | 695 |
| 0 0 2 | 2.240 | 203 |
| 3 2 1 | 2.050 | 362 |
| 1 3 2 | 1.746 | 171 |
| 3 5 1 | 1.367 | 213 |

Cell and atoms:
```
NdSm8Sb6
1.0
11.6048 0.0000 0.0000
-5.8024 10.0501 0.0000
0.0000 0.0000 4.4801
Nd Sm Sb
1 8 6
direct
0.0000 0.0000 0.0000 Nd
0.0400 0.6987 0.2568 Sm
0.3013 0.3412 0.2568 Sm
0.3333 0.6667 0.7442 Sm
0.3412 0.0400 0.7432 Sm
0.6588 0.9600 0.2568 Sm
0.6667 0.3333 0.2558 Sm
0.6987 0.6588 0.7432 Sm
0.9600 0.3013 0.7432 Sm
0.1332 0.4814 0.2440 Sb
0.3482 0.8668 0.2440 Sb
0.4814 0.3482 0.7560 Sb
0.5186 0.6518 0.2440 Sb
0.6518 0.1332 0.7560 Sb
0.8668 0.5186 0.7560 Sb
```

---

2.
Structure and computed PXRD pattern of Na2CuP2 (a structure optimized by DFT (PBE); Cu Ka).

Peak list (10 most intense, 2θ from 5° to 70°, sorted by position)
| index | d (Å) | Rel. int. |
| --- | --- | --- |
| 0 0 2 | 5.591 | 326 |
| 1 0 0 | 4.343 | 510 |
| 1 0 2 | 3.430 | 228 |
| 1 1 1 | 2.815 | 1000 |
| 1 0 4 | 2.351 | 355 |
| 1 1 3 | 2.293 | 400 |
| 2 0 0 | 2.172 | 342 |
| 0 2 0 | 1.958 | 244 |
| 0 1 5 | 1.942 | 410 |
| 2 1 5 | 1.448 | 312 |

Cell and atoms:
```
Na2CuP2
1.0
4.3431 0.0000 0.0000
0.0000 3.9158 0.0000
0.0000 0.0000 11.1818
Na Cu P
4 2 4
direct
0.0000 0.0000 0.0000 Na
0.0000 0.0000 0.2463 Na
0.0000 0.5000 0.5000 Na
0.0000 0.5000 0.7463 Na
0.5000 0.0000 0.4234 Cu
0.5000 0.5000 0.9234 Cu
0.5000 0.0000 0.6252 P
0.5000 0.0000 0.8200 P
0.5000 0.5000 0.1252 P
0.5000 0.5000 0.3200 P
```

---

3.
Structure and computed PXRD pattern of Tb3TlRh (a structure optimized by DFT (PBE); Cu Ka).

Peak list (10 most intense, 2θ from 5° to 70°, sorted by position)
| index | d (Å) | Rel. int. |
| --- | --- | --- |
| 1 1 3 | 3.145 | 292 |
| 2 1 1 | 2.863 | 1000 |
| 1 0 5 | 2.774 | 445 |
| 1 1 4 | 2.750 | 682 |
| 2 1 2 | 2.718 | 830 |
| 2 0 4 | 2.613 | 299 |
| 0 1 5 | 2.553 | 734 |
| 0 2 0 | 2.432 | 776 |
| 3 1 3 | 1.993 | 205 |
| 1 2 5 | 1.829 | 266 |

Cell and atoms:
```
Tb3TlRh
1.0
7.2868 0.0000 0.0000
0.0000 4.8648 0.0000
0.0000 0.0000 14.9997
Tb Tl Rh
12 4 4
direct
0.0098 0.2500 0.1004 Tb
0.1348 0.7500 0.4571 Tb
0.1973 0.2500 0.7236 Tb
0.3027 0.7500 0.2236 Tb
0.3652 0.2500 0.9571 Tb
0.4902 0.7500 0.6004 Tb
0.5098 0.2500 0.3996 Tb
0.6348 0.7500 0.0429 Tb
0.6973 0.2500 0.7764 Tb
0.8027 0.7500 0.2764 Tb
0.8652 0.2500 0.5429 Tb
0.9902 0.7500 0.8996 Tb
0.0750 0.2500 0.3233 Tl
0.4250 0.7500 0.8233 Tl
0.5750 0.2500 0.1767 Tl
0.9250 0.7500 0.6767 Tl
0.2252 0.7500 0.0450 Rh
0.2748 0.2500 0.5450 Rh
0.7252 0.7500 0.4550 Rh
0.7748 0.2500 0.9550 Rh
```